Entry 1:
For Pr7Nd4Er, DFT lattice parameters and positions (PBE) gives the computed XRD peak list in this record (Cu Kα, 1.54184 Å).
No peak broadening, texture or thermal motion is included.

Most intense lines, 2θ = 10–80°, sorted by position:
Position (°2θ), I/Imax, (hkl)
27.97, 36, 2 0 1
29.95, 49, 0 0 3
30.85, 100, 2 0 2
32.47, 84, 1 2 2
49.11, 38, 3 2 1
52.67, 15, 2 0 5
55.83, 17, 1 2 5
58.60, 44, 3 2 4
59.13, 16, 4 0 0
60.12, 14, 4 0 3

```
data_Pr7Nd4Er
_symmetry_space_group_name_H-M 'P 1'
_symmetry_Int_Tables_number 1
_cell_length_a 6.4229
_cell_length_b 7.4233
_cell_length_c 9.2042
_cell_angle_alpha 89.97
_cell_angle_beta 76.50
_cell_angle_gamma 90.00
loop_
_symmetry_equiv_pos_as_xyz
'x,y,z'
loop_
_atom_site_label
_atom_site_type_symbol
_atom_site_fract_x
_atom_site_fract_y
_atom_site_fract_z
Pr1 Pr 0.0000 0.0000 0.0000
Pr2 Pr 0.2216 0.4999 0.3322
Pr3 Pr 0.2771 0.2508 0.6703
Pr4 Pr 0.5003 0.2515 0.0003
Pr5 Pr 0.4997 0.7485 0.9997
Pr6 Pr 0.7229 0.7492 0.3297
Pr7 Pr 0.7784 0.5001 0.6678
Nd1 Nd 0.2242 0.0000 0.3328
Nd2 Nd 0.2767 0.7493 0.6707
Nd3 Nd 0.7233 0.2507 0.3293
Nd4 Nd 0.7758 0.0000 0.6672
Er1 Er 0.0000 0.5000 0.0000
```



Entry 2:
For PrNd7Er2, DFT lattice parameters and positions (PBE) gives the computed XRD peak list in this record (Cu Kα, 1.54184 Å).
No peak broadening, texture or thermal motion is included.

Most intense lines, 2θ = 10–80°, sorted by position:
Position (°2θ), I/Imax, (hkl)
29.96, 100, 1 1 1
30.06, 33, 2 0 -2
34.76, 67, 2 -1 1
49.86, 8, 1 -3 3
49.94, 16, 1 0 4
50.05, 24, 3 1 -1
59.29, 14, 1 3 -5
59.40, 33, 3 2 -4
59.52, 10, -4 1 1
62.23, 8, 2 -4 0

```
data_PrNd7Er2
_symmetry_space_group_name_H-M 'P 1'
_symmetry_Int_Tables_number 1
_cell_length_a 6.3058
_cell_length_b 6.3335
_cell_length_c 9.6584
_cell_angle_alpha 102.73
_cell_angle_beta 108.96
_cell_angle_gamma 99.59
loop_
_symmetry_equiv_pos_as_xyz
'x,y,z'
loop_
_atom_site_label
_atom_site_type_symbol
_atom_site_fract_x
_atom_site_fract_y
_atom_site_fract_z
Pr1 Pr 0.0000 0.0000 0.0000
Nd1 Nd 0.0000 0.5000 0.5000
Nd2 Nd 0.2005 0.0966 0.6974
Nd3 Nd 0.2028 0.6030 0.2043
Nd4 Nd 0.4012 0.6985 0.8982
Nd5 Nd 0.5988 0.3015 0.1018
Nd6 Nd 0.7972 0.3970 0.7957
Nd7 Nd 0.7995 0.9034 0.3026
Er1 Er 0.4019 0.2019 0.4026
Er2 Er 0.5981 0.7981 0.5974
```



Question: Which formula does entry 1 have?
Answer: Pr7Nd4Er



Question: What is the formula in the first record?
Answer: Pr7Nd4Er